Theoretical powder XRD pattern of K4AuO2 for copper Kα, from a cell relaxed with PBE.
Intensities are scaled so that the largest is 100.

Crystal structure
```
K4AuO2
1.0
2.099 -6.474 0.000
2.099 6.474 0.000
0.000 0.000 14.174
K Au O
8 2 4
direct
0.000 0.000 0.000
0.000 0.000 0.500
0.257 0.743 0.594
0.257 0.743 0.906
0.431 0.569 0.250
0.569 0.431 0.750
0.743 0.257 0.094
0.743 0.257 0.406
0.132 0.868 0.250
0.868 0.132 0.750
0.371 0.629 0.067
0.371 0.629 0.433
0.629 0.371 0.567
0.629 0.371 0.933
```

Principal peaks in the range 5 to 70 degrees two-theta, in order of falling intensity:
2θ (°), I (rel.)
30.4, 100.0
15.0, 75.2
29.3, 67.8
32.3, 57.2
12.5, 46.0
23.3, 45.1
23.1, 39.7
25.1, 24.2
33.8, 19.7
41.5, 19.2


Theoretical powder XRD pattern of K2AuO for copper Kα, from a cell relaxed with PBE.
Intensities are scaled so that the largest is 100.

Crystal structure
```
K2AuO
1.0
6.656 0.000 0.000
0.000 10.410 0.000
-3.805 0.000 7.647
K Au O
8 4 4
direct
0.211 0.100 0.008
0.211 0.400 0.508
0.215 0.656 0.970
0.215 0.844 0.470
0.785 0.156 0.530
0.785 0.344 0.030
0.789 0.600 0.492
0.789 0.900 0.992
0.433 0.123 0.722
0.433 0.377 0.222
0.567 0.623 0.778
0.567 0.877 0.278
0.219 0.631 0.654
0.219 0.869 0.154
0.781 0.131 0.846
0.781 0.369 0.346
```

Principal peaks in the range 5 to 70 degrees two-theta, in order of falling intensity:
2θ (°), I (rel.)
20.6, 100.0
14.9, 54.6
28.5, 50.8
21.3, 49.3
36.0, 44.1
28.6, 28.2
22.2, 26.1
34.5, 25.1
32.0, 21.2
40.9, 19.2


Theoretical powder XRD pattern of K10Au4O for copper Kα, from a cell relaxed with PBE.
Intensities are scaled so that the largest is 100.

Crystal structure
```
K10Au4O
1.0
-6.118 6.118 3.883
6.118 -6.118 3.883
6.118 6.118 -3.883
K Au O
10 4 1
direct
0.045 0.133 0.730
0.133 0.404 0.088
0.250 0.750 0.500
0.316 0.045 0.912
0.404 0.316 0.270
0.596 0.684 0.730
0.684 0.955 0.088
0.750 0.250 0.500
0.867 0.596 0.912
0.955 0.867 0.270
0.207 0.605 0.812
0.395 0.207 0.603
0.605 0.793 0.397
0.793 0.395 0.188
0.000 0.000 0.000
```

Principal peaks in the range 5 to 70 degrees two-theta, in order of falling intensity:
2θ (°), I (rel.)
19.8, 100.0
32.7, 91.7
38.6, 34.8
51.4, 25.2
58.4, 19.2
38.5, 18.4
23.0, 16.4
62.3, 14.2
58.3, 10.0
47.0, 9.9